This entry pairs a crystal structure of Na3TiGaSi2SO12 with its computed PXRD pattern. Radiation: Cu Kα (λ = 1.5418 Å). Structure: a PBE-relaxed structure.
Intensities are scaled so that the largest is 100.

Main lines, in order of rising 2θ (2θ from 10° to 90°):
14.04°, I = 43
19.79°, I = 77
19.94°, I = 59
23.29°, I = 27
23.40°, I = 61
28.30°, I = 27
30.91°, I = 29
31.47°, I = 51
31.59°, I = 100
34.96°, I = 51

```
data_Na3TiGaSi2SO12
_symmetry_space_group_name_H-M 'C 1 c 1'
_symmetry_Int_Tables_number 9
_symmetry_space_group_name_Hall 'C -2yc'
_cell_length_a 15.465
_cell_length_b 8.876
_cell_length_c 8.965
_cell_angle_alpha 90.00
_cell_angle_beta 124.85
_cell_angle_gamma 90.00
loop_
_atom_site_label
_atom_site_type_symbol
_atom_site_fract_x
_atom_site_fract_y
_atom_site_fract_z
Na1 Na 0.000 0.067 0.000
Na2 Na 0.370 0.069 0.008
Na3 Na 0.433 0.257 0.755
Ti1 Ti 0.094 0.233 0.702
Ga1 Ga 0.289 0.257 0.315
Si1 Si 0.196 0.043 0.517
Si2 Si 0.336 0.399 0.017
S1 S 0.046 0.398 0.011
O1 O 0.041 0.437 0.531
O2 O 0.043 0.372 0.845
O3 O 0.109 0.142 0.529
O4 O 0.114 0.064 0.836
O5 O 0.139 0.325 0.173
O6 O 0.228 0.314 0.844
O7 O 0.270 0.063 0.193
O8 O 0.274 0.144 0.489
O9 O 0.340 0.367 0.200
O10 O 0.346 0.421 0.496
O11 O 0.436 0.311 0.031
O12 O 0.455 0.171 0.501
```